Calculated powder diffractogram
Compound: Cr2HgO7
Radiation: λ = 1.5418 Å (Cu Kα)
Structure: a structure optimized by DFT (PBE+U)
No peak broadening, texture or thermal motion is included.

Largest 8 diffraction maxima, in order of falling intensity, 2θ = 10–90°:
h k l, 2θ/deg, intensity
1 1 0, 23.22, 100
0 1 1, 16.19, 49
2 -1 1, 25.00, 45
0 0 3, 27.60, 35
1 1 3, 36.37, 33
1 0 2, 22.72, 26
1 1 2, 29.73, 24
3 0 1, 41.90, 17

Structural model:
a b c (Å): 7.661 7.661 9.695
angles (deg): 90.00 90.00 120.00
Fractional positions:
Cr 0.089 0.418 0.000
Cr 0.329 0.911 0.333
Cr 0.437 0.079 0.011
Cr 0.582 0.671 0.667
Cr 0.642 0.563 0.345
Cr 0.921 0.358 0.678
Hg 0.284 0.021 0.673
Hg 0.737 0.716 0.006
Hg 0.979 0.263 0.340
O 0.042 0.597 0.655
O 0.049 0.603 0.021
O 0.175 0.671 0.332
O 0.263 0.020 0.462
O 0.264 0.027 0.884
O 0.311 0.014 0.173
O 0.329 0.504 0.999
O 0.397 0.446 0.688
O 0.403 0.445 0.321
O 0.496 0.825 0.666
O 0.554 0.951 0.354
O 0.555 0.958 0.988
O 0.600 0.318 0.012
O 0.682 0.283 0.678
O 0.703 0.689 0.506
O 0.717 0.400 0.345
O 0.757 0.737 0.795
O 0.763 0.736 0.217
O 0.973 0.237 0.550
O 0.980 0.243 0.129
O 0.986 0.297 0.840